Starting from DFT lattice parameters and positions (PBE), the X-ray powder pattern of Bi4Te3Se3 was simulated for Cu Kα (λ = 1.5418 Å).
Lines closer than 0.1° are merged.

Most intense lines, 10 to 90 degrees two-theta, in order of rising 2θ:
h k l, 2theta, I/Imax
0 0 12, 16.95, 16
0 1 2, 24.02, 12
1 0 10, 27.82, 100
1 0 16, 33.14, 15
0 1 20, 37.44, 30
1 1 0, 41.94, 39
0 1 26, 44.71, 16
0 2 10, 51.08, 19
2 1 10, 68.15, 16
1 1 36, 69.34, 13

Cell and atoms:
Cell: 4.3081 4.3081 62.7718 Å, 90.00 90.00 120.00°
Space group R3m (No. 160, hexagonal axes)
Unique sites:
1 Bi 0.0000 0.0000 0.0000 [3 per cell]
2 Bi 0.0000 0.0000 0.1042 [3 per cell]
3 Bi 0.0000 0.0000 0.4974 [3 per cell]
4 Bi 0.0000 0.0000 0.6069 [3 per cell]
5 Te 0.0000 0.0000 0.1927 [3 per cell]
6 Te 0.0000 0.0000 0.6951 [3 per cell]
7 Te 0.0000 0.0000 0.9116 [3 per cell]
8 Se 0.0000 0.0000 0.3032 [3 per cell]
9 Se 0.0000 0.0000 0.4135 [3 per cell]
10 Se 0.0000 0.0000 0.8007 [3 per cell]



Starting from DFT lattice parameters and positions (PBE), the X-ray powder pattern of MnCu5Pt6 was simulated for Cu Kα (λ = 1.5418 Å).
Lines closer than 0.1° are merged.

Most intense lines, 10 to 90 degrees two-theta, in order of rising 2θ:
h k l, 2theta, I/Imax
1 0 1, 24.50, 21
0 2 0, 32.19, 22
1 2 1, 40.86, 100
1 2 -2, 46.16, 35
2 0 2, 50.22, 14
0 2 3, 52.95, 12
3 2 0, 70.58, 20
0 4 3, 81.79, 13
3 2 -3, 81.95, 13
3 2 3, 87.94, 11

Cell and atoms:
Cell: 4.5745 5.5699 6.6346 Å, 90.00 94.21 90.00°
Space group P2/m (No. 10)
Unique sites:
1 Mn 0.0000 0.0000 0.0000 [1 per cell]
2 Cu 0.0000 0.5000 0.0000 [1 per cell]
3 Cu 0.3358 0.5000 0.6670 [2 per cell]
4 Cu 0.3374 0.0000 0.6644 [2 per cell]
5 Pt 0.1631 0.2506 0.3326 [4 per cell]
6 Pt 0.5000 0.2509 0.0000 [2 per cell]



Starting from DFT lattice parameters and positions (PBE), the X-ray powder pattern of ZrTi2Te3 was simulated for Cu Kα (λ = 1.5418 Å).
Lines closer than 0.1° are merged.

Most intense lines, 10 to 90 degrees two-theta, in order of rising 2θ:
h k l, 2theta, I/Imax
3 1 -1, 29.10, 100
6 0 1, 30.47, 44
3 1 1, 30.67, 24
6 0 -2, 32.86, 23
3 1 2, 37.78, 49
5 1 -2, 38.66, 18
8 0 -2, 39.80, 24
9 1 0, 47.07, 36
2 0 -4, 47.85, 17
0 2 0, 49.07, 24

Cell and atoms:
Cell: 20.5599 3.7134 7.6102 Å, 90.00 98.43 90.00°
Space group C2/m (No. 12)
Unique sites:
1 Zr 0.1651 0.0000 0.4787 [4 per cell]
2 Ti 0.0395 0.5000 0.3813 [4 per cell]
3 Ti 0.1806 0.0000 0.9707 [4 per cell]
4 Te 0.0674 0.0000 0.1496 [4 per cell]
5 Te 0.1054 0.5000 0.7260 [4 per cell]
6 Te 0.2228 0.5000 0.2354 [4 per cell]



Starting from DFT lattice parameters and positions (PBE), the X-ray powder pattern of AlNi3Pt4 was simulated for Cu Kα (λ = 1.5418 Å).
Lines closer than 0.1° are merged.

Most intense lines, 10 to 90 degrees two-theta, in order of rising 2θ:
h k l, 2theta, I/Imax
0 0 4, 24.76, 28
1 1 0, 32.47, 29
1 1 4, 41.25, 100
2 0 0, 46.57, 35
0 0 8, 50.78, 14
2 0 4, 53.45, 15
2 2 0, 67.99, 11
2 0 8, 71.35, 20
3 1 4, 82.73, 27
1 1 12, 89.05, 11

Cell and atoms:
Cell: 3.9001 3.9001 14.3846 Å, 90.00 90.00 90.00°
Space group I4/mmm (No. 139)
Unique sites:
1 Al 0.0000 0.0000 0.0000 [2 per cell]
2 Ni 0.0000 0.0000 0.2516 [4 per cell]
3 Ni 0.0000 0.0000 0.5000 [2 per cell]
4 Pt 0.0000 0.5000 0.1244 [8 per cell]



Starting from DFT lattice parameters and positions (PBE), the X-ray powder pattern of PPb2Cl2O4 was simulated for Cu Kα (λ = 1.5418 Å).
Lines closer than 0.1° are merged.

Most intense lines, 10 to 90 degrees two-theta, in order of rising 2θ:
h k l, 2theta, I/Imax
1 1 0, 20.95, 64
0 0 2, 21.37, 49
2 0 0, 29.79, 72
1 1 2, 30.10, 100
2 0 2, 36.96, 89
2 2 0, 42.64, 38
2 2 2, 48.17, 29
1 1 4, 48.79, 23
3 1 2, 53.07, 38
2 0 4, 53.64, 23

Cell and atoms:
Cell: 5.9976 5.9976 8.3155 Å, 90.00 90.00 90.00°
Space group I4/mmm (No. 139)
Unique sites:
1 P 0.0000 0.0000 0.0000 [2 per cell]
2 Pb 0.0000 0.5000 0.2500 [4 per cell]
3 Cl 0.0000 0.0000 0.3030 [4 per cell]
4 O 0.1905 0.1905 0.0000 [8 per cell]



Starting from DFT lattice parameters and positions (PBE), the X-ray powder pattern of Ce2AlBPt6 was simulated for Cu Kα (λ = 1.5418 Å).
Lines closer than 0.1° are merged.

Most intense lines, 10 to 90 degrees two-theta, in order of rising 2θ:
h k l, 2theta, I/Imax
0 0 1, 11.96, 19
0 1 2, 26.18, 17
1 0 2, 28.74, 23
0 2 2, 31.79, 63
1 2 2, 35.55, 31
2 2 0, 37.70, 100
2 0 2, 39.85, 45
2 1 2, 41.25, 19
0 4 0, 41.64, 39
2 4 2, 59.00, 24

Cell and atoms:
Cell: 5.7146 8.6755 7.4006 Å, 90.00 90.00 90.00°
Space group Pmmn (No. 59, origin choice 2)
Unique sites:
1 Ce 0.2500 0.0303 0.2149 [4 per cell]
2 Al 0.2500 0.7500 0.8189 [2 per cell]
3 B 0.2500 0.2500 0.6917 [2 per cell]
4 Pt 0.0054 0.2500 0.9096 [4 per cell]
5 Pt 0.0091 0.7500 0.5142 [4 per cell]
6 Pt 0.2500 0.0052 0.6500 [4 per cell]



Starting from DFT lattice parameters and positions (PBE), the X-ray powder pattern of Hf2SbPb2 was simulated for Cu Kα (λ = 1.5418 Å).
Lines closer than 0.1° are merged.

Most intense lines, 10 to 90 degrees two-theta, in order of rising 2θ:
h k l, 2theta, I/Imax
2 0 1, 31.10, 10
2 1 1, 33.33, 100
3 1 0, 37.55, 31
0 0 2, 40.85, 17
4 0 0, 48.01, 9
3 3 0, 51.17, 7
4 1 1, 54.09, 16
3 1 2, 56.69, 19
2 1 3, 69.61, 12
5 2 1, 70.25, 19

Cell and atoms:
Cell: 7.5737 7.5737 4.4184 Å, 90.00 90.00 90.00°
Space group P4/mbm (No. 127)
Unique sites:
1 Hf 0.1423 0.3577 0.0000 [4 per cell]
2 Sb 0.0000 0.0000 0.0000 [2 per cell]
3 Pb 0.1629 0.6629 0.5000 [4 per cell]